Simulated XRD peak list of Rb3Hg2 for Cu Kα (λ = 1.5418 Å), from a structure optimized by DFT (PBE).

Structural model:
a = 7.490 Å, b = 7.490 Å, c = 7.490 Å
α = 136.51°, β = 113.95°, γ = 82.45°
Sites, in units of the cell vectors:
Rb (0.000, 0.000, 0.000)
Rb (0.298, 0.798, 0.500)
Rb (0.702, 0.202, 0.500)
Hg (0.315, 0.500, 0.815)
Hg (0.685, 0.500, 0.185)

Largest 10 diffraction maxima, in order of falling intensity, 10° ≤ 2θ ≤ 90°:
2theta  intensity
25.03  1000
28.27  831
15.73  552
17.82  476
28.70  472
32.26  378
40.96  324
49.01  306
53.07  305
26.97  299

=====

Simulated XRD peak list of Rb6Hg for Cu Kα (λ = 1.5418 Å), from a structure optimized by DFT (PBE).

Structural model:
a = 8.766 Å, b = 8.766 Å, c = 8.245 Å
α = 90.00°, β = 90.00°, γ = 120.00°
Sites, in units of the cell vectors:
Rb (0.000, 0.342, 0.255)
Rb (0.000, 0.658, 0.745)
Rb (0.342, 0.000, 0.255)
Rb (0.342, 0.342, 0.745)
Rb (0.658, 0.000, 0.745)
Rb (0.658, 0.658, 0.255)
Hg (0.000, 0.000, 0.000)

Largest 10 diffraction maxima, in order of falling intensity, 10° ≤ 2θ ≤ 90°:
2theta  intensity
22.98  1000
29.75  449
15.87  368
35.47  340
11.66  299
38.67  240
42.69  189
57.68  162
56.67  160
24.57  157

=====

Simulated XRD peak list of RbHg6 for Cu Kα (λ = 1.5418 Å), from a structure optimized by DFT (PBE).

Structural model:
a = 7.510 Å, b = 7.510 Å, c = 7.510 Å
α = 90.00°, β = 90.00°, γ = 90.00°
Sites, in units of the cell vectors:
Rb (0.000, 0.000, 0.000)
Hg (0.197, 0.500, 0.500)
Hg (0.500, 0.197, 0.500)
Hg (0.500, 0.500, 0.197)
Hg (0.500, 0.500, 0.803)
Hg (0.500, 0.803, 0.500)
Hg (0.803, 0.500, 0.500)

Largest 10 diffraction maxima, in order of falling intensity, 10° ≤ 2θ ≤ 90°:
2theta  intensity
11.78  1000
35.87  885
37.89  369
29.13  365
20.48  274
51.64  217
23.70  208
68.43  162
72.27  149
41.66  146